Structure and theoretical powder X-ray diffraction pattern of B3PN (the PBE geometry in Alexandria; Cu Kα (weighted mean of Kα1 and Kα2)).

Largest 6 diffraction maxima, by intensity, 5° ≤ 2θ ≤ 70°:
two_theta, I_rel
36.7, 100
52.8, 50
45.3, 43
66.0, 29
25.7, 6
59.6, 5

Cell and atoms:
```
data_B3PN
_chemical_formula_sum 'B3 P1 N1'
_symmetry_space_group_name_H-M 'P 1'
_symmetry_Int_Tables_number 1
_symmetry_space_group_name_Hall 'P 1'
_cell_length_a 3.4661
_cell_length_b 3.4661
_cell_length_c 3.4661
_cell_angle_alpha 90.00
_cell_angle_beta 90.00
_cell_angle_gamma 90.00
loop_
_atom_site_label
_atom_site_type_symbol
_atom_site_fract_x
_atom_site_fract_y
_atom_site_fract_z
_atom_site_occupancy
B1 B 0.0000 0.0000 0.5000 1
B2 B 0.0000 0.5000 0.0000 1
B3 B 0.5000 0.0000 0.0000 1
P1 P 0.5000 0.5000 0.5000 1
N1 N 0.0000 0.0000 0.0000 1
```

***

Structure and theoretical powder X-ray diffraction pattern of B6PN6 (the PBE geometry in Alexandria; Cu Kα (weighted mean of Kα1 and Kα2)).

Largest 8 diffraction maxima, by intensity, 5° ≤ 2θ ≤ 70°:
two_theta, I_rel
48.7, 100
19.4, 72
39.4, 53
44.2, 38
33.9, 20
27.5, 13
60.7, 12
67.9, 7

Cell and atoms:
```
data_B6PN6
_chemical_formula_sum 'B6 P1 N6'
_symmetry_space_group_name_H-M 'P 1'
_symmetry_Int_Tables_number 1
_symmetry_space_group_name_Hall 'P 1'
_cell_length_a 4.5794
_cell_length_b 4.5794
_cell_length_c 4.5794
_cell_angle_alpha 90.00
_cell_angle_beta 90.00
_cell_angle_gamma 90.00
loop_
_atom_site_label
_atom_site_type_symbol
_atom_site_fract_x
_atom_site_fract_y
_atom_site_fract_z
_atom_site_occupancy
B1 B 0.0000 0.2441 0.5000 1
B2 B 0.0000 0.7559 0.5000 1
B3 B 0.2441 0.5000 0.0000 1
B4 B 0.5000 0.0000 0.2441 1
B5 B 0.5000 0.0000 0.7559 1
B6 B 0.7559 0.5000 0.0000 1
P1 P 0.0000 0.0000 0.0000 1
N1 N 0.0000 0.5000 0.2539 1
N2 N 0.0000 0.5000 0.7461 1
N3 N 0.2539 0.0000 0.5000 1
N4 N 0.5000 0.2539 0.0000 1
N5 N 0.5000 0.7461 0.0000 1
N6 N 0.7461 0.0000 0.5000 1
```

***

Structure and theoretical powder X-ray diffraction pattern of Ta2BPN (the PBE geometry in Alexandria; Cu Kα (weighted mean of Kα1 and Kα2)).

Largest 12 diffraction maxima, by intensity, 5° ≤ 2θ ≤ 70°:
two_theta, I_rel
41.6, 100
28.7, 84
41.0, 59
29.5, 47
51.3, 42
59.4, 20
67.7, 18
67.3, 16
69.0, 15
61.2, 9
36.0, 1
55.7, 1

Cell and atoms:
```
data_Ta2BPN
_chemical_formula_sum 'Ta2 B1 P1 N1'
_symmetry_space_group_name_H-M 'P 1'
_symmetry_Int_Tables_number 1
_symmetry_space_group_name_Hall 'P 1'
_cell_length_a 4.3994
_cell_length_b 4.3994
_cell_length_c 3.0278
_cell_angle_alpha 90.00
_cell_angle_beta 90.00
_cell_angle_gamma 90.00
loop_
_atom_site_label
_atom_site_type_symbol
_atom_site_fract_x
_atom_site_fract_y
_atom_site_fract_z
_atom_site_occupancy
Ta1 Ta 0.0000 0.5000 0.0000 1
Ta2 Ta 0.5000 0.0000 0.0000 1
B1 B 0.0000 0.0000 0.5000 1
P1 P 0.5000 0.5000 0.5000 1
N1 N 0.0000 0.0000 0.0000 1
```

***

Structure and theoretical powder X-ray diffraction pattern of PaBN (the PBE geometry in Alexandria; Cu Kα (weighted mean of Kα1 and Kα2)).

Largest 12 diffraction maxima, by intensity, 5° ≤ 2θ ≤ 70°:
two_theta, I_rel
30.6, 100
37.1, 95
33.3, 63
25.5, 63
30.1, 59
53.5, 45
59.6, 33
43.1, 30
53.7, 22
65.6, 19
49.8, 19
59.3, 18

Cell and atoms:
```
data_PaBN
_chemical_formula_sum 'Pa2 B2 N2'
_symmetry_space_group_name_H-M 'P 1'
_symmetry_Int_Tables_number 1
_symmetry_space_group_name_Hall 'P 1'
_cell_length_a 6.2215
_cell_length_b 6.2215
_cell_length_c 3.3520
_cell_angle_alpha 90.00
_cell_angle_beta 90.00
_cell_angle_gamma 145.78
loop_
_atom_site_label
_atom_site_type_symbol
_atom_site_fract_x
_atom_site_fract_y
_atom_site_fract_z
_atom_site_occupancy
Pa1 Pa 0.1366 0.8634 0.7500 1
Pa2 Pa 0.8634 0.1366 0.2500 1
B1 B 0.4658 0.5342 0.7500 1
B2 B 0.5342 0.4658 0.2500 1
N1 N 0.3381 0.6619 0.7500 1
N2 N 0.6619 0.3381 0.2500 1
```

***

Structure and theoretical powder X-ray diffraction pattern of Pm2PaB2N6 (the PBE geometry in Alexandria; Cu Kα (weighted mean of Kα1 and Kα2)).

Largest 12 diffraction maxima, by intensity, 5° ≤ 2θ ≤ 70°:
two_theta, I_rel
24.4, 100
32.2, 55
37.3, 43
40.8, 34
52.9, 29
50.1, 21
59.9, 20
60.8, 19
57.4, 12
67.4, 8
49.1, 5
15.9, 4

Cell and atoms:
```
data_Pm2PaB2N6
_chemical_formula_sum 'Pm2 Pa1 B2 N6'
_symmetry_space_group_name_H-M 'P 1'
_symmetry_Int_Tables_number 1
_symmetry_space_group_name_Hall 'P 1'
_cell_length_a 5.5582
_cell_length_b 5.5582
_cell_length_c 5.5683
_cell_angle_alpha 90.00
_cell_angle_beta 90.00
_cell_angle_gamma 120.00
loop_
_atom_site_label
_atom_site_type_symbol
_atom_site_fract_x
_atom_site_fract_y
_atom_site_fract_z
_atom_site_occupancy
Pm1 Pm 0.3333 0.6667 0.3294 1
Pm2 Pm 0.6667 0.3333 0.6706 1
Pa1 Pa 0.0000 0.0000 0.0000 1
B1 B 0.3333 0.6667 0.7911 1
B2 B 0.6667 0.3333 0.2089 1
N1 N 0.1224 0.3763 0.7643 1
N2 N 0.2538 0.8776 0.7643 1
N3 N 0.3763 0.2538 0.2357 1
N4 N 0.6237 0.7462 0.7643 1
N5 N 0.7462 0.1224 0.2357 1
N6 N 0.8776 0.6237 0.2357 1
```

***

Structure and theoretical powder X-ray diffraction pattern of SrPaBN3 (the PBE geometry in Alexandria; Cu Kα (weighted mean of Kα1 and Kα2)).

Largest 12 diffraction maxima, by intensity, 5° ≤ 2θ ≤ 70°:
two_theta, I_rel
18.0, 100
34.3, 98
31.4, 80
47.2, 46
57.8, 41
48.9, 19
69.2, 17
56.0, 16
43.2, 14
36.5, 14
65.6, 12
23.1, 10

Cell and atoms:
```
data_SrPaBN3
_chemical_formula_sum 'Sr2 Pa2 B2 N6'
_symmetry_space_group_name_H-M 'P 1'
_symmetry_Int_Tables_number 1
_symmetry_space_group_name_Hall 'P 1'
_cell_length_a 5.6898
_cell_length_b 5.6898
_cell_length_c 6.1771
_cell_angle_alpha 90.00
_cell_angle_beta 90.00
_cell_angle_gamma 120.00
loop_
_atom_site_label
_atom_site_type_symbol
_atom_site_fract_x
_atom_site_fract_y
_atom_site_fract_z
_atom_site_occupancy
Sr1 Sr 0.3333 0.6667 0.2500 1
Sr2 Sr 0.6667 0.3333 0.7500 1
Pa1 Pa 0.0000 0.0000 0.0000 1
Pa2 Pa 0.0000 0.0000 0.5000 1
B1 B 0.3333 0.6667 0.7500 1
B2 B 0.6667 0.3333 0.2500 1
N1 N 0.1833 0.3666 0.7500 1
N2 N 0.1833 0.8167 0.7500 1
N3 N 0.3666 0.1833 0.2500 1
N4 N 0.6334 0.8167 0.7500 1
N5 N 0.8167 0.1833 0.2500 1
N6 N 0.8167 0.6334 0.2500 1
```

***

Structure and theoretical powder X-ray diffraction pattern of PmB2N2 (the PBE geometry in Alexandria; Cu Kα (weighted mean of Kα1 and Kα2)).

Largest 11 diffraction maxima, by intensity, 5° ≤ 2θ ≤ 70°:
two_theta, I_rel
21.6, 100
38.9, 59
37.9, 57
50.4, 34
69.1, 23
55.4, 22
32.0, 21
44.0, 17
59.5, 15
68.4, 9
66.8, 3

Cell and atoms:
```
data_PmB2N2
_chemical_formula_sum 'Pm1 B2 N2'
_symmetry_space_group_name_H-M 'P 1'
_symmetry_Int_Tables_number 1
_symmetry_space_group_name_Hall 'P 1'
_cell_length_a 4.7496
_cell_length_b 4.7496
_cell_length_c 2.7999
_cell_angle_alpha 90.00
_cell_angle_beta 90.00
_cell_angle_gamma 120.00
loop_
_atom_site_label
_atom_site_type_symbol
_atom_site_fract_x
_atom_site_fract_y
_atom_site_fract_z
_atom_site_occupancy
Pm1 Pm 0.0000 0.0000 0.0000 1
B1 B 0.3333 0.6667 0.5000 1
B2 B 0.6667 0.3333 0.5000 1
N1 N 0.3333 0.6667 0.0000 1
N2 N 0.6667 0.3333 0.0000 1
```

***

Structure and theoretical powder X-ray diffraction pattern of Pm2B3N2 (the PBE geometry in Alexandria; Cu Kα (weighted mean of Kα1 and Kα2)).

Largest 12 diffraction maxima, by intensity, 5° ≤ 2θ ≤ 70°:
two_theta, I_rel
35.8, 100
40.9, 88
22.7, 87
27.1, 84
35.6, 78
27.4, 49
54.6, 33
33.5, 32
33.6, 31
46.3, 27
61.1, 27
58.4, 26

Cell and atoms:
```
data_Pm2B3N2
_chemical_formula_sum 'Pm2 B3 N2'
_symmetry_space_group_name_H-M 'P 1'
_symmetry_Int_Tables_number 1
_symmetry_space_group_name_Hall 'P 1'
_cell_length_a 3.3636
_cell_length_b 3.9245
_cell_length_c 6.7859
_cell_angle_alpha 90.00
_cell_angle_beta 104.15
_cell_angle_gamma 90.00
loop_
_atom_site_label
_atom_site_type_symbol
_atom_site_fract_x
_atom_site_fract_y
_atom_site_fract_z
_atom_site_occupancy
Pm1 Pm 0.1385 0.0000 0.2708 1
Pm2 Pm 0.8615 0.0000 0.7292 1
B1 B 0.2788 0.5000 0.5621 1
B2 B 0.5000 0.5000 0.0000 1
B3 B 0.7212 0.5000 0.4379 1
N1 N 0.3919 0.5000 0.7907 1
N2 N 0.6081 0.5000 0.2093 1
```